# 1
Structure and computed powder X-ray diffraction pattern of SiAg2Au3 (a GGA-PBE-relaxed structure; Cu Kα (λ = 1.5418 Å)).

Structure:
```
SiAg2Au3
1.0
5.2175 0.0000 0.0000
-1.7612 5.7998 0.0000
-2.2544 -0.9681 7.0993
Si Ag Au
2 4 6
direct
0.2268 0.3286 0.0381
0.7732 0.6714 0.9619
0.3114 0.3184 0.5819
0.3329 0.8449 0.6155
0.6671 0.1551 0.3845
0.6886 0.6816 0.4181
0.0625 0.0071 0.2280
0.0667 0.5245 0.2754
0.4006 0.7771 0.0479
0.5994 0.2229 0.9521
0.9333 0.4755 0.7246
0.9375 0.9929 0.7720
```

Principal peaks in the range 2θ from 10° to 90°, by angle:
2θ = 30.89°, I = 29; 2θ = 35.98°, I = 37; 2θ = 36.27°, I = 100; 2θ = 37.52°, I = 96; 2θ = 38.32°, I = 42; 2θ = 38.89°, I = 46; 2θ = 41.10°, I = 35; 2θ = 41.64°, I = 61

=====

# 2
Structure and computed powder X-ray diffraction pattern of Sm5Ag2Au (a GGA-PBE-relaxed structure; Cu Kα (λ = 1.5418 Å)).

Structure:
```
Sm5Ag2Au
1.0
-3.7424 3.7424 8.0181
3.7424 -3.7424 8.0181
3.7424 3.7424 -8.0181
Sm Ag Au
10 4 2
direct
0.0000 0.0000 0.0000
0.0141 0.5141 0.8358
0.1783 0.0141 0.5000
0.3217 0.8217 0.8358
0.4859 0.3217 0.5000
0.5000 0.5000 0.0000
0.5141 0.6783 0.5000
0.6783 0.1783 0.1642
0.8217 0.9859 0.5000
0.9859 0.4859 0.1642
0.1298 0.3702 0.5000
0.3702 0.8702 0.2404
0.6298 0.1298 0.7596
0.8702 0.6298 0.5000
0.2500 0.2500 0.0000
0.7500 0.7500 0.0000
```

Principal peaks in the range 2θ from 10° to 90°, by angle:
2θ = 27.92°, I = 23; 2θ = 31.54°, I = 100; 2θ = 32.74°, I = 40; 2θ = 33.53°, I = 15; 2θ = 33.87°, I = 15; 2θ = 38.02°, I = 49; 2θ = 53.29°, I = 14; 2θ = 57.04°, I = 12

=====

# 3
Structure and computed powder X-ray diffraction pattern of Sm3Ag2Au8 (a GGA-PBE-relaxed structure; Cu Kα (λ = 1.5418 Å)).

Structure:
```
Sm3Ag2Au8
1.0
2.7302 1.5763 11.9860
-2.7302 1.5763 11.9860
0.0000 -3.1525 11.9860
Sm Ag Au
3 2 8
direct
0.0000 0.0000 0.0000
0.2399 0.2399 0.2399
0.7601 0.7601 0.7601
0.3956 0.3956 0.3956
0.6044 0.6044 0.6044
0.1988 0.7037 0.7037
0.2963 0.2963 0.8012
0.2963 0.8012 0.2963
0.3199 0.3199 0.3199
0.6801 0.6801 0.6801
0.7037 0.1988 0.7037
0.7037 0.7037 0.1988
0.8012 0.2963 0.2963
```

Principal peaks in the range 2θ from 10° to 90°, by angle:
2θ = 22.25°, I = 48; 2θ = 33.67°, I = 100; 2θ = 37.68°, I = 47; 2θ = 38.40°, I = 80; 2θ = 40.15°, I = 72; 2θ = 44.92°, I = 51; 2θ = 45.94°, I = 56; 2θ = 68.77°, I = 45

=====

# 4
Structure and computed powder X-ray diffraction pattern of Sm6Ag5Au (a GGA-PBE-relaxed structure; Cu Kα (λ = 1.5418 Å)).

Structure:
```
Sm6Ag5Au
1.0
5.2604 0.0000 0.0000
0.0000 7.3428 0.0000
-2.5820 0.0000 7.9043
Sm Ag Au
6 5 1
direct
0.0000 0.2460 0.0000
0.0000 0.7540 0.0000
0.3354 0.2489 0.6709
0.3354 0.7511 0.6709
0.6646 0.2489 0.3291
0.6646 0.7511 0.3291
0.1668 0.5000 0.3336
0.1716 0.0000 0.3434
0.5000 0.5000 0.0000
0.8284 0.0000 0.6566
0.8332 0.5000 0.6664
0.5000 0.0000 0.0000
```

Principal peaks in the range 2θ from 10° to 90°, by angle:
2θ = 34.06°, I = 100; 2θ = 34.25°, I = 99; 2θ = 34.36°, I = 98; 2θ = 48.77°, I = 18; 2θ = 60.98°, I = 18; 2θ = 61.05°, I = 18; 2θ = 61.22°, I = 36; 2θ = 61.59°, I = 35

=====

# 5
Structure and computed powder X-ray diffraction pattern of Sm5Ag2Au2 (a GGA-PBE-relaxed structure; Cu Kα (λ = 1.5418 Å)).

Structure:
```
Sm5Ag2Au2
1.0
8.3978 -3.7309 0.0000
8.3978 3.7309 0.0000
0.0000 0.0000 7.8181
Sm Ag Au
10 4 4
direct
0.0000 0.0000 0.0000
0.0353 0.6883 0.6759
0.1883 0.5353 0.1759
0.3117 0.9647 0.6759
0.4647 0.8117 0.1759
0.5000 0.5000 0.5000
0.5353 0.1883 0.8241
0.6883 0.0353 0.3241
0.8117 0.4647 0.8241
0.9647 0.3117 0.3241
0.2136 0.2136 0.0000
0.2864 0.2864 0.5000
0.7136 0.7136 0.5000
0.7864 0.7864 0.0000
0.1267 0.8733 0.3642
0.3733 0.6267 0.8642
0.6267 0.3733 0.1358
0.8733 0.1267 0.6358
```

Principal peaks in the range 2θ from 10° to 90°, by angle:
2θ = 10.53°, I = 37; 2θ = 28.56°, I = 38; 2θ = 30.35°, I = 100; 2θ = 31.26°, I = 36; 2θ = 32.09°, I = 38; 2θ = 34.13°, I = 89; 2θ = 36.93°, I = 53; 2θ = 38.35°, I = 41

=====

# 6
Structure and computed powder X-ray diffraction pattern of Sm3Ag4Au2 (a GGA-PBE-relaxed structure; Cu Kα (λ = 1.5418 Å)).

Structure:
```
Sm3Ag4Au2
1.0
7.0776 -5.5951 0.0000
7.0776 5.5951 0.0000
-1.0668 0.0000 5.2688
Sm Ag Au
6 8 4
direct
0.1196 0.8804 0.7500
0.2028 0.4599 0.9286
0.4599 0.2028 0.4286
0.5401 0.7972 0.5714
0.7972 0.5401 0.0714
0.8804 0.1196 0.2500
0.0987 0.3481 0.3744
0.3231 0.5629 0.4869
0.3481 0.0987 0.8744
0.4371 0.6769 0.0131
0.5629 0.3231 0.9869
0.6520 0.9013 0.1256
0.6769 0.4371 0.5131
0.9013 0.6520 0.6256
0.0164 0.7599 0.1846
0.2401 0.9836 0.3154
0.7599 0.0164 0.6846
0.9836 0.2401 0.8154
```

Principal peaks in the range 2θ from 10° to 90°, by angle:
2θ = 31.99°, I = 61; 2θ = 34.33°, I = 100; 2θ = 37.38°, I = 80; 2θ = 41.42°, I = 60; 2θ = 53.28°, I = 28; 2θ = 60.59°, I = 28; 2θ = 61.93°, I = 17; 2θ = 79.10°, I = 17

=====

# 7
Structure and computed powder X-ray diffraction pattern of Ag2SnAu8 (a GGA-PBE-relaxed structure; Cu Kα (λ = 1.5418 Å)).

Structure:
```
Ag2SnAu8
1.0
7.5565 -2.1153 0.0000
7.5565 2.1153 0.0000
-1.8592 0.0000 6.3719
Ag Sn Au
2 1 8
direct
0.2265 0.2265 0.1337
0.7735 0.7735 0.8663
0.5000 0.5000 0.5000
0.0481 0.0481 0.2210
0.1381 0.1381 0.6837
0.3159 0.3159 0.5907
0.4074 0.4074 0.0473
0.5926 0.5926 0.9527
0.6841 0.6841 0.4093
0.8619 0.8619 0.3163
0.9519 0.9519 0.7790
```

Principal peaks in the range 2θ from 10° to 90°, by angle:
2θ = 36.95°, I = 100; 2θ = 37.21°, I = 99; 2θ = 42.75°, I = 34; 2θ = 42.90°, I = 33; 2θ = 43.60°, I = 32; 2θ = 62.16°, I = 22; 2θ = 62.71°, I = 22; 2θ = 74.49°, I = 26

=====

# 8
Structure and computed powder X-ray diffraction pattern of Ag2Sn6Au (a GGA-PBE-relaxed structure; Cu Kα (λ = 1.5418 Å)).

Structure:
```
Ag2Sn6Au
1.0
3.2857 1.8970 6.0179
-3.2857 1.8970 6.0179
0.0000 -3.7940 6.0179
Ag Sn Au
2 6 1
direct
0.1594 0.1594 0.1594
0.8406 0.8406 0.8406
0.1109 0.4451 0.6685
0.3315 0.8891 0.5549
0.4451 0.6685 0.1109
0.5549 0.3315 0.8891
0.6685 0.1109 0.4451
0.8891 0.5549 0.3315
0.0000 0.0000 0.0000
```

Principal peaks in the range 2θ from 10° to 90°, by angle:
2θ = 16.33°, I = 20; 2θ = 29.29°, I = 37; 2θ = 31.01°, I = 100; 2θ = 31.84°, I = 64; 2θ = 38.32°, I = 26; 2θ = 40.66°, I = 90; 2θ = 42.31°, I = 23; 2θ = 47.96°, I = 38

=====

# 9
Structure and computed powder X-ray diffraction pattern of Ag3SnAu4 (a GGA-PBE-relaxed structure; Cu Kα (λ = 1.5418 Å)).

Structure:
```
Ag3SnAu4
1.0
16.4183 0.0000 0.0000
0.0000 4.3506 0.0000
-1.1439 0.0000 4.1888
Ag Sn Au
6 2 8
direct
0.0000 0.0000 0.0000
0.2482 0.0000 0.2491
0.2518 0.5000 0.7509
0.5000 0.5000 0.0000
0.7482 0.5000 0.2491
0.7518 0.0000 0.7509
0.0000 0.5000 0.5000
0.5000 0.0000 0.5000
0.1273 0.0000 0.6287
0.1270 0.5000 0.1267
0.3730 0.0000 0.8733
0.3727 0.5000 0.3713
0.6270 0.0000 0.1267
0.6273 0.5000 0.6287
0.8727 0.0000 0.3713
0.8730 0.5000 0.8733
```

Principal peaks in the range 2θ from 10° to 90°, by angle:
2θ = 37.03°, I = 100; 2θ = 41.56°, I = 36; 2θ = 45.83°, I = 14; 2θ = 60.22°, I = 12; 2θ = 63.55°, I = 15; 2θ = 72.82°, I = 21; 2θ = 72.93°, I = 7; 2θ = 78.87°, I = 17

=====

# 10
Structure and computed powder X-ray diffraction pattern of Ag3SnAu7 (a GGA-PBE-relaxed structure; Cu Kα (λ = 1.5418 Å)).

Structure:
```
Ag3SnAu7
1.0
4.9773 -5.0997 0.0000
4.9773 5.0997 0.0000
-2.6019 0.0000 4.3975
Ag Sn Au
3 1 7
direct
0.0000 0.0000 0.0000
0.2306 0.7694 0.5000
0.7694 0.2306 0.5000
0.5000 0.5000 0.0000
0.0720 0.5884 0.8308
0.1749 0.1749 0.6769
0.4116 0.9280 0.1692
0.5000 0.5000 0.5000
0.5884 0.0720 0.8308
0.8251 0.8251 0.3231
0.9280 0.4116 0.1692
```

Principal peaks in the range 2θ from 10° to 90°, by angle:
2θ = 26.80°, I = 11; 2θ = 32.56°, I = 14; 2θ = 35.16°, I = 100; 2θ = 38.11°, I = 16; 2θ = 40.20°, I = 43; 2θ = 40.34°, I = 42; 2θ = 50.58°, I = 35; 2θ = 66.64°, I = 18

=====

# 11
Structure and computed powder X-ray diffraction pattern of AgSnAu4 (a GGA-PBE-relaxed structure; Cu Kα (λ = 1.5418 Å)).

Structure:
```
AgSnAu4
1.0
5.1211 0.0000 0.0000
1.5254 4.9120 0.0000
0.7963 2.4063 4.5180
Ag Sn Au
1 1 4
direct
0.0000 0.0000 0.0000
0.5000 0.5000 0.0000
0.0002 0.3314 0.3372
0.9998 0.6686 0.6628
0.5005 0.1642 0.6711
0.4995 0.8358 0.3289
```

Principal peaks in the range 2θ from 10° to 90°, by angle:
2θ = 36.59°, I = 51; 2θ = 36.76°, I = 51; 2θ = 36.93°, I = 100; 2θ = 41.92°, I = 36; 2θ = 42.51°, I = 34; 2θ = 43.82°, I = 31; 2θ = 74.27°, I = 13; 2θ = 75.96°, I = 19

=====

# 12
Structure and computed powder X-ray diffraction pattern of Ag5SnAu6 (a GGA-PBE-relaxed structure; Cu Kα (λ = 1.5418 Å)).

Structure:
```
Ag5SnAu6
1.0
2.5434 -4.4595 0.0000
2.5434 4.4595 0.0000
-1.7705 0.0000 9.7316
Ag Sn Au
5 1 6
direct
0.0000 0.0000 0.0000
0.1670 0.8330 0.5000
0.3341 0.6659 0.0000
0.6659 0.3341 0.0000
0.8330 0.1670 0.5000
0.5000 0.5000 0.5000
0.0795 0.4160 0.2451
0.2475 0.2475 0.7546
0.4160 0.0795 0.2451
0.5840 0.9205 0.7549
0.7525 0.7525 0.2454
0.9205 0.5840 0.7549
```

Principal peaks in the range 2θ from 10° to 90°, by angle:
2θ = 36.95°, I = 50; 2θ = 37.18°, I = 100; 2θ = 37.35°, I = 49; 2θ = 43.00°, I = 66; 2θ = 43.53°, I = 32; 2θ = 62.44°, I = 22; 2θ = 62.57°, I = 21; 2θ = 75.15°, I = 26